Simulated X-ray diffraction stick pattern
Compound: MgFe2H2O4
Radiation: Cu Kα, 1.54184 Å
Structure: a crystal structure in the Materials Project, relaxed with PBE+U
Neutral-atom scattering factors, no anomalous dispersion.

Largest 10 diffraction maxima, sorted by position, 5 to 70 degrees two-theta:
14.37°, I 100
24.55°, I 38
28.98°, I 29
34.52°, I 48
34.88°, I 65
40.22°, I 62
40.42°, I 59
45.96°, I 48
54.27°, I 28
62.70°, I 35

Cell and atoms:
```
9
Lattice="4.4842 0.0000 0.0000 0.0000 1.6498 6.1617 0.0000 -1.6498 6.1617" Properties=species:S:1:pos:R:3 pbc="T T T"
Mg 0.0000 0.0000 0.0000
Fe 0.0000 0.0000 2.9018
Fe 2.2421 0.0000 10.1964
H 1.4397 0.0000 6.7386
H 3.0445 0.0000 6.7386
O 0.0000 0.0000 7.2888
O 0.0000 0.0000 10.4231
O 2.2421 0.0000 2.9599
O 2.2421 0.0000 6.0799
```

---

Simulated X-ray diffraction stick pattern
Compound: MgFe4H4O8
Radiation: Cu Kα, 1.54184 Å
Structure: a crystal structure in the Materials Project, relaxed with PBE+U
Neutral-atom scattering factors, no anomalous dispersion.

Largest 10 diffraction maxima, sorted by position, 5 to 70 degrees two-theta:
20.14°, I 85
20.87°, I 93
30.42°, I 58
32.93°, I 50
33.08°, I 46
35.04°, I 100
35.49°, I 70
50.56°, I 57
51.87°, I 44
58.99°, I 35

Cell and atoms:
```
17
Lattice="4.7302 0.0000 0.0000 0.0000 3.1455 0.0000 -0.5223 0.0000 10.8328" Properties=species:S:1:pos:R:3 pbc="T T T"
Mg 0.0000 0.0000 0.0000
Fe -0.1920 1.5727 6.6223
Fe 0.3080 0.0000 4.1419
Fe 2.0817 0.0000 9.1476
Fe 2.6749 1.5727 1.4741
H -0.0542 1.5727 9.0313
H 0.4791 0.0000 1.9262
H 2.4449 1.5727 4.0046
H 2.4191 0.0000 6.6472
O 0.7856 1.5727 8.4654
O 0.9444 0.0000 5.9963
O 1.6167 1.5727 3.4076
O 1.8485 0.0000 0.5069
O 3.2411 0.0000 7.2516
O 3.3777 1.5727 10.0390
O 3.9132 1.5727 4.6887
O 4.2257 0.0000 2.0790
```

---

Simulated X-ray diffraction stick pattern
Compound: MgFe2H2O4
Radiation: Cu Kα, 1.54184 Å
Structure: a crystal structure in the Materials Project, relaxed with PBE+U
Neutral-atom scattering factors, no anomalous dispersion.

Largest 10 diffraction maxima, sorted by position, 5 to 70 degrees two-theta:
12.90°, I 61
26.26°, I 37
32.41°, I 100
34.81°, I 67
35.24°, I 43
41.99°, I 30
46.52°, I 30
52.85°, I 20
57.84°, I 30
59.08°, I 36

Cell and atoms:
```
9
Lattice="3.9045 0.0000 0.0000 0.0000 1.7324 6.8623 0.0000 -1.7324 6.8623" Properties=species:S:1:pos:R:3 pbc="T T T"
Mg 0.0000 0.0000 0.0000
Fe 0.0000 0.0000 3.4670
Fe 1.9523 0.0000 8.4918
H 1.1381 0.0000 12.1252
H 2.7664 0.0000 12.1252
O 0.0000 0.0000 7.7818
O 0.0000 0.0000 11.4860
O 1.9523 0.0000 2.7106
O 1.9523 0.0000 12.9363
```

---

Simulated X-ray diffraction stick pattern
Compound: MgFe2H2O4
Radiation: Cu Kα, 1.54184 Å
Structure: a crystal structure in the Materials Project, relaxed with PBE+U
Neutral-atom scattering factors, no anomalous dispersion.

Largest 10 diffraction maxima, sorted by position, 5 to 70 degrees two-theta:
15.45°, I 100
27.29°, I 67
36.27°, I 34
36.85°, I 60
39.53°, I 78
39.64°, I 73
49.03°, I 64
51.27°, I 29
58.27°, I 23
58.84°, I 46

Cell and atoms:
```
9
Lattice="5.8521 -1.5834 0.0000 5.8521 1.5834 0.0000 -0.9217 0.0000 4.5604" Properties=species:S:1:pos:R:3 pbc="T T T"
Mg 0.0000 0.0000 0.0000
Fe 1.5220 0.0000 3.2114
Fe 8.9002 0.0000 1.2726
H 4.2447 0.0000 0.0233
H 5.3082 0.0000 2.4797
O 1.7347 0.0000 1.0368
O 4.7138 0.0000 0.9063
O 5.7469 0.0000 3.3622
O 8.7293 0.0000 3.4552
```